Structure and calculated PXRD pattern of TlVS2 (a GGA-PBE-relaxed structure; Cu Kα X-rays).
Neutral-atom scattering factors, no anomalous dispersion.

```
8
Lattice="-3.4309 3.4309 4.4846 3.4309 -3.4309 4.4846 3.4309 3.4309 -4.4846" Properties=species:S:1:pos:R:3 pbc="T T T"
Tl 0.0000 0.0000 0.0000
Tl 0.0000 3.4309 2.2423
V 3.4309 0.0000 2.2423
V 0.0000 0.0000 4.4846
S 1.7154 -0.9922 3.3634
S 2.4387 1.7154 1.1211
S 1.7154 4.4231 -1.1211
S 0.9922 1.7154 5.6057
```

Top 10 peaks for 10 to 90 degrees two-theta, by angle:
2θ (°)	I/Imax
16.26	32.0
25.97	36.2
27.08	100.0
30.80	36.9
32.67	14.8
37.06	23.6
46.49	44.0
48.50	25.8
55.83	11.2
60.32	11.7